# 1
The following is a simulated powder diffraction line list of RbCrCuF6. It was derived from a cell relaxed with GGA+U, using copper Kα.
Intensities are scaled so that the largest is 100.

Peak list (6 most intense, 5° ≤ 2θ ≤ 70°, in order of falling intensity)
two_theta	Rel. int.
28.91	100
28.37	96
49.35	86
28.01	67
28.19	45
30.10	44

Cell and atoms:
```
18
Lattice="-3.587 3.710 5.291 3.587 -3.710 5.291 3.587 3.710 -5.291" Properties=species:S:1:pos:R:3 pbc="T T T"
Rb 0.000 1.855 1.266
Rb 3.587 1.855 4.025
Cr 3.587 0.000 0.000
Cr 0.000 0.000 5.291
Cu 1.793 1.855 -2.646
Cu 1.793 -1.855 2.646
F 3.587 -1.855 3.373
F 2.183 -0.329 1.287
F 4.991 -0.329 1.287
F 3.587 1.855 0.660
F 2.183 3.381 -1.287
F 1.404 -0.329 4.004
F 2.183 4.039 1.287
F 1.404 0.329 6.578
F 0.000 1.855 4.631
F -1.404 4.039 4.004
F 1.404 4.039 4.004
F 0.000 5.565 1.918
```

# 2
The following is a simulated powder diffraction line list of LiV2O3F3. It was derived from a cell relaxed with GGA+U, using copper Kα.
Intensities are scaled so that the largest is 100.

Peak list (6 most intense, 5° ≤ 2θ ≤ 70°, in order of falling intensity)
two_theta	Rel. int.
23.76	100
23.40	100
24.51	97
47.85	22
33.26	20
33.47	20

Cell and atoms:
```
27
Lattice="5.086 0.000 0.000 2.450 4.509 0.000 0.308 0.358 13.576" Properties=species:S:1:pos:R:3 pbc="T T T"
Li 0.000 0.000 0.000
Li 2.363 1.682 4.575
Li 5.072 3.182 9.088
V 2.437 1.877 7.509
V 2.571 1.619 0.550
V 4.664 3.161 5.092
V 5.279 3.193 12.014
V 7.253 4.586 2.963
V 7.594 4.705 9.593
O 0.888 1.448 8.493
O 3.068 3.173 8.452
O 3.351 3.395 3.846
O 3.651 3.217 12.998
O 3.865 2.016 6.112
O 3.834 1.207 1.632
O 5.878 4.424 3.978
O 6.546 3.736 10.618
O 6.217 2.111 12.936
F 1.814 3.133 1.616
F 1.241 0.416 1.580
F 4.100 4.443 10.673
F 1.859 0.281 6.126
F 3.422 0.376 12.959
F 3.419 0.394 8.387
F 4.614 1.876 10.679
F 5.546 1.657 3.931
F 6.444 2.861 6.170
```

# 3
The following is a simulated powder diffraction line list of MgVFeP4O14. It was derived from a cell relaxed with GGA+U, using copper Kα.
Intensities are scaled so that the largest is 100.

Peak list (6 most intense, 5° ≤ 2θ ≤ 70°, in order of falling intensity)
two_theta	Rel. int.
16.99	100
29.25	47
22.17	28
29.73	23
27.67	19
21.25	18

Cell and atoms:
```
21
Lattice="5.064 0.000 0.000 -1.955 6.777 0.000 -0.025 -0.037 8.159" Properties=species:S:1:pos:R:3 pbc="T T T"
Mg 0.000 0.000 0.000
V 2.157 1.509 1.641
Fe 3.257 4.400 5.469
P -0.409 3.010 0.011
P 0.757 2.926 4.088
P 0.680 5.599 7.632
P 4.690 0.287 3.385
O 0.507 0.203 2.083
O -0.451 3.847 4.193
O 0.290 1.388 4.355
O -0.572 5.928 6.824
O 0.690 1.904 0.053
O 0.349 4.391 0.424
O 1.337 2.955 2.679
O 1.804 3.166 5.172
O 3.015 0.037 0.423
O 3.261 0.740 3.076
O 2.013 5.345 6.935
O 3.577 2.800 1.059
O 2.742 5.797 4.205
O 4.090 3.135 6.766
```

# 4
The following is a simulated powder diffraction line list of MgFe8O8F8. It was derived from a cell relaxed with GGA+U, using copper Kα.
Intensities are scaled so that the largest is 100.

Peak list (6 most intense, 5° ≤ 2θ ≤ 70°, in order of falling intensity)
two_theta	Rel. int.
25.48	100
25.69	91
34.58	84
51.22	37
39.34	32
51.05	28

Cell and atoms:
```
25
Lattice="3.048 0.000 0.000 0.034 9.807 0.000 0.019 0.079 9.891" Properties=species:S:1:pos:R:3 pbc="T T T"
Mg 0.000 0.000 0.000
Fe 0.036 2.459 4.971
Fe 0.080 7.569 4.774
Fe 0.077 7.124 0.304
Fe 0.094 2.595 0.229
Fe 1.549 0.437 7.309
Fe 1.557 0.302 2.795
Fe 1.610 5.216 2.722
Fe 1.624 5.037 7.403
O 0.027 1.262 6.491
O 0.036 1.036 1.658
O 0.070 9.000 3.501
O 0.087 5.931 1.724
O 1.555 1.254 9.086
O 1.560 1.738 4.079
O 1.592 8.364 0.583
O 1.606 6.522 4.111
F 0.068 8.945 8.123
F 0.075 4.119 3.641
F 0.095 6.173 6.517
F 0.102 3.989 8.484
F 1.571 3.636 5.911
F 1.596 8.532 5.904
F 1.630 6.310 9.061
F 1.618 3.663 1.270
```